Entry 1:
# LiLa2As2O8
Calculated X-ray powder pattern, Cu Kα (weighted mean of Kα1 and Kα2). Input: a structure optimized by DFT (PBE).
Intensities are scaled so that the largest is 100.

Peak list (6 most intense, 5° ≤ 2θ ≤ 70°, in order of rising 2θ)
| Position (°2θ) | I (rel.) |
| --- | --- |
| 23.4 | 100 |
| 30.8 | 21 |
| 31.6 | 34 |
| 32.0 | 18 |
| 45.6 | 22 |
| 47.2 | 28 |

Structure:
```
LiLa2As2O8
1.0
3.3477 -5.3171 0.0000
3.3477 5.3171 0.0000
-3.1264 0.0000 5.4162
Li La As O
1 2 2 8
direct
0.0000 0.0000 0.0000
0.0226 0.9774 0.5000
0.2886 0.7114 0.0000
0.5431 0.4569 0.5000
0.7584 0.2416 0.0000
0.2927 0.0845 0.2748
0.3575 0.4728 0.6691
0.4276 0.0714 0.8247
0.5272 0.6425 0.3309
0.7798 0.0582 0.1621
0.9155 0.7073 0.7252
0.9286 0.5724 0.1753
0.9418 0.2202 0.8379
```

***

Entry 2:
# TiZn2Cd2
Calculated X-ray powder pattern, Cu Kα (weighted mean of Kα1 and Kα2). Input: a structure optimized by DFT (PBE).
Intensities are scaled so that the largest is 100.

Peak list (6 most intense, 5° ≤ 2θ ≤ 70°, in order of rising 2θ)
| Position (°2θ) | I (rel.) |
| --- | --- |
| 16.3 | 15 |
| 37.0 | 38 |
| 37.2 | 36 |
| 39.1 | 100 |
| 48.9 | 18 |
| 57.7 | 17 |

Structure:
```
TiZn2Cd2
1.0
7.6858 0.0000 0.0000
0.0000 7.6858 0.0000
0.0000 0.0000 3.1031
Ti Zn Cd
2 4 4
direct
0.0000 0.0000 0.0000
0.5000 0.5000 0.0000
0.1203 0.3797 0.0000
0.3797 0.8797 0.0000
0.6203 0.1203 0.0000
0.8797 0.6203 0.0000
0.1806 0.6806 0.5000
0.3194 0.1806 0.5000
0.6806 0.8194 0.5000
0.8194 0.3194 0.5000
```

***

Entry 3:
# Sm2Dy2Y6Tm
Calculated X-ray powder pattern, Cu Kα (weighted mean of Kα1 and Kα2). Input: a structure optimized by DFT (PBE).
Intensities are scaled so that the largest is 100.

Peak list (6 most intense, 5° ≤ 2θ ≤ 70°, in order of rising 2θ)
| Position (°2θ) | I (rel.) |
| --- | --- |
| 30.8 | 30 |
| 30.9 | 24 |
| 31.6 | 38 |
| 32.2 | 100 |
| 33.9 | 19 |
| 56.6 | 26 |

Structure:
```
Sm2Dy2Y6Tm
1.0
2.8322 -6.0168 0.0000
2.8322 6.0168 0.0000
0.0000 0.0000 10.5823
Sm Dy Y Tm
2 2 6 1
direct
0.1339 0.8661 0.0000
0.8661 0.1339 0.0000
0.2065 0.7935 0.5000
0.7935 0.2065 0.5000
0.0000 0.0000 0.2967
0.0000 0.0000 0.7033
0.3473 0.6527 0.2082
0.3473 0.6527 0.7918
0.6527 0.3473 0.2082
0.6527 0.3473 0.7918
0.5000 0.5000 0.5000
```

***

Entry 4:
# Cs3NbI8
Calculated X-ray powder pattern, Cu Kα (weighted mean of Kα1 and Kα2). Input: a structure optimized by DFT (PBE).
Intensities are scaled so that the largest is 100.

Peak list (6 most intense, 5° ≤ 2θ ≤ 70°, in order of rising 2θ)
| Position (°2θ) | I (rel.) |
| --- | --- |
| 19.8 | 19 |
| 25.2 | 100 |
| 28.1 | 32 |
| 29.6 | 16 |
| 30.8 | 33 |
| 32.3 | 16 |

Structure:
```
Cs3NbI8
1.0
11.5957 0.0000 0.0000
-5.7979 10.0422 0.0000
0.0000 0.0000 9.9548
Cs Nb I
6 2 16
direct
0.1493 0.2985 0.0000
0.1493 0.8507 0.0000
0.2985 0.1493 0.5000
0.7015 0.8507 0.0000
0.8507 0.1493 0.5000
0.8507 0.7015 0.5000
0.3333 0.6667 0.3922
0.6667 0.3333 0.8922
0.0000 0.0000 0.2514
0.0000 0.0000 0.7514
0.0686 0.5343 0.3222
0.2233 0.4466 0.5997
0.2233 0.7767 0.5997
0.3333 0.6667 0.0780
0.4466 0.2233 0.0997
0.4657 0.5343 0.3222
0.4657 0.9314 0.3222
0.5343 0.0686 0.8222
0.5343 0.4657 0.8222
0.5534 0.7767 0.5997
0.6667 0.3333 0.5780
0.7767 0.2233 0.0997
0.7767 0.5534 0.0997
0.9314 0.4657 0.8222
```

***

Entry 5:
# Ba3InB3O9
Calculated X-ray powder pattern, Cu Kα (weighted mean of Kα1 and Kα2). Input: a structure optimized by DFT (PBE).
Intensities are scaled so that the largest is 100.

Peak list (6 most intense, 5° ≤ 2θ ≤ 70°, in order of rising 2θ)
| Position (°2θ) | I (rel.) |
| --- | --- |
| 23.0 | 38 |
| 27.5 | 31 |
| 28.2 | 100 |
| 30.2 | 34 |
| 34.4 | 27 |
| 46.9 | 25 |

Structure:
```
Ba3InB3O9
1.0
6.4792 3.7408 3.1668
-6.4792 3.7408 3.1668
0.0000 -7.4815 3.1668
Ba In B O
6 2 6 18
direct
0.1652 0.6566 0.2647
0.2647 0.1652 0.6566
0.3434 0.7353 0.8348
0.6566 0.2647 0.1652
0.7353 0.8348 0.3434
0.8348 0.3434 0.7353
0.0000 0.0000 0.0000
0.5000 0.5000 0.5000
0.0490 0.2891 0.3680
0.2891 0.3680 0.0490
0.3680 0.0490 0.2891
0.6320 0.9510 0.7109
0.7109 0.6320 0.9510
0.9510 0.7109 0.6320
0.0040 0.7393 0.8200
0.0694 0.8027 0.5645
0.1800 0.9960 0.2607
0.1973 0.4355 0.9306
0.2179 0.4282 0.4942
0.2607 0.1800 0.9960
0.4282 0.4942 0.2179
0.4355 0.9306 0.1973
0.4942 0.2179 0.4282
0.5058 0.7821 0.5718
0.5645 0.0694 0.8027
0.5718 0.5058 0.7821
0.7393 0.8200 0.0040
0.7821 0.5718 0.5058
0.8027 0.5645 0.0694
0.8200 0.0040 0.7393
0.9306 0.1973 0.4355
0.9960 0.2607 0.1800
```

***

Entry 6:
# La2Nd7HoTl2
Calculated X-ray powder pattern, Cu Kα (weighted mean of Kα1 and Kα2). Input: a structure optimized by DFT (PBE).
Intensities are scaled so that the largest is 100.

Peak list (6 most intense, 5° ≤ 2θ ≤ 70°, in order of rising 2θ)
| Position (°2θ) | I (rel.) |
| --- | --- |
| 30.2 | 100 |
| 30.6 | 46 |
| 33.1 | 38 |
| 36.2 | 31 |
| 37.9 | 23 |
| 61.9 | 26 |

Structure:
```
La2Nd7HoTl2
1.0
3.4737 -3.5388 0.0000
3.4737 3.5388 0.0000
0.0000 0.0000 16.2374
La Nd Ho Tl
2 7 1 2
direct
0.0000 0.0000 0.1669
0.0000 0.0000 0.8331
0.0000 0.0000 0.5000
0.0000 0.5000 0.3345
0.0000 0.5000 0.6655
0.2766 0.7234 0.0000
0.5000 0.0000 0.3345
0.5000 0.0000 0.6655
0.7234 0.2766 0.0000
0.5000 0.5000 0.5000
0.5000 0.5000 0.1815
0.5000 0.5000 0.8185
```

***

Entry 7:
# MnSi2W
Calculated X-ray powder pattern, Cu Kα (weighted mean of Kα1 and Kα2). Input: a structure optimized by DFT (PBE).
Intensities are scaled so that the largest is 100.

Peak list (6 most intense, 5° ≤ 2θ ≤ 70°, in order of rising 2θ)
| Position (°2θ) | I (rel.) |
| --- | --- |
| 21.4 | 56 |
| 21.5 | 49 |
| 25.5 | 66 |
| 32.7 | 56 |
| 41.3 | 100 |
| 46.0 | 73 |

Structure:
```
MnSi2W
1.0
4.3190 -1.4495 0.0000
4.3190 1.4495 0.0000
-1.2917 0.0000 4.1585
Mn Si W
1 2 1
direct
0.0000 0.0000 0.0000
0.4935 0.4935 0.4573
0.7360 0.7360 0.1498
0.2486 0.2486 0.6549
```

***

Entry 8:
# Rb2SN2
Calculated X-ray powder pattern, Cu Kα (weighted mean of Kα1 and Kα2). Input: a structure optimized by DFT (PBE).
Intensities are scaled so that the largest is 100.

Peak list (6 most intense, 5° ≤ 2θ ≤ 70°, in order of rising 2θ)
| Position (°2θ) | I (rel.) |
| --- | --- |
| 14.9 | 65 |
| 20.9 | 41 |
| 22.3 | 40 |
| 28.2 | 100 |
| 29.7 | 59 |
| 29.9 | 45 |

Structure:
```
Rb2SN2
1.0
4.4356 -4.5215 0.0000
4.4356 4.5215 0.0000
-4.3305 0.0000 8.5166
Rb S N
4 2 4
direct
0.0583 0.3190 0.1374
0.3190 0.0583 0.6374
0.6810 0.9417 0.3626
0.9417 0.6810 0.8626
0.1241 0.8759 0.2500
0.8759 0.1241 0.7500
0.4499 0.4648 0.0285
0.4648 0.4499 0.5285
0.5352 0.5501 0.4715
0.5501 0.5352 0.9715
```

***

Entry 9:
# NaAg3O2
Calculated X-ray powder pattern, Cu Kα (weighted mean of Kα1 and Kα2). Input: a structure optimized by DFT (PBE).
Intensities are scaled so that the largest is 100.

Peak list (6 most intense, 5° ≤ 2θ ≤ 70°, in order of rising 2θ)
| Position (°2θ) | I (rel.) |
| --- | --- |
| 11.4 | 100 |
| 33.9 | 29 |
| 34.9 | 37 |
| 35.8 | 37 |
| 36.9 | 67 |
| 37.1 | 61 |

Structure:
```
NaAg3O2
1.0
7.3695 -1.6478 0.0000
7.3695 1.6478 0.0000
-1.2041 0.0000 7.7890
Na Ag O
2 6 4
direct
0.1549 0.1549 0.4393
0.8451 0.8451 0.5607
0.0954 0.0954 0.0512
0.2380 0.2380 0.8531
0.4420 0.4420 0.2669
0.5580 0.5580 0.7331
0.7620 0.7620 0.1469
0.9046 0.9046 0.9488
0.3079 0.3079 0.3366
0.4191 0.4191 0.7524
0.5809 0.5809 0.2476
0.6921 0.6921 0.6634
```

***

Entry 10:
# La5SmY
Calculated X-ray powder pattern, Cu Kα (weighted mean of Kα1 and Kα2). Input: a structure optimized by DFT (PBE).
Intensities are scaled so that the largest is 100.

Peak list (6 most intense, 5° ≤ 2θ ≤ 70°, in order of rising 2θ)
| Position (°2θ) | I (rel.) |
| --- | --- |
| 27.5 | 66 |
| 29.8 | 93 |
| 30.9 | 60 |
| 31.3 | 100 |
| 31.5 | 69 |
| 33.1 | 74 |

Structure:
```
La5SmY
1.0
8.3679 -3.3973 0.0000
8.3679 3.3973 0.0000
-6.5817 0.0000 8.9408
La Sm Y
10 2 2
direct
0.0085 0.9915 0.7500
0.0774 0.5722 0.9077
0.1622 0.6575 0.4087
0.3425 0.8378 0.0913
0.4278 0.9226 0.5923
0.5722 0.0774 0.4077
0.6575 0.1622 0.9087
0.8378 0.3425 0.5913
0.9226 0.4278 0.0923
0.9915 0.0085 0.2500
0.0000 0.5000 0.5000
0.5000 0.0000 0.0000
0.4885 0.5115 0.7500
0.5115 0.4885 0.2500
```

***

Entry 11:
# MnTe2
Calculated X-ray powder pattern, Cu Kα (weighted mean of Kα1 and Kα2). Input: a structure optimized by DFT (PBE).
Intensities are scaled so that the largest is 100.

Peak list (6 most intense, 5° ≤ 2θ ≤ 70°, in order of rising 2θ)
| Position (°2θ) | I (rel.) |
| --- | --- |
| 25.1 | 79 |
| 27.6 | 89 |
| 28.1 | 92 |
| 32.1 | 93 |
| 34.0 | 79 |
| 46.4 | 100 |

Structure:
```
MnTe2
1.0
6.2813 -1.8707 0.0000
6.2813 1.8707 0.0000
-0.5300 0.0000 7.0935
Mn Te
2 4
direct
0.0000 0.0000 0.0000
0.2378 0.2378 0.9354
0.1540 0.1540 0.2633
0.4108 0.4108 0.1991
0.5818 0.5818 0.7797
0.8401 0.8401 0.7349
```

***

Entry 12:
# NbZn2Ni5
Calculated X-ray powder pattern, Cu Kα (weighted mean of Kα1 and Kα2). Input: a structure optimized by DFT (PBE).
Intensities are scaled so that the largest is 100.

Peak list (6 most intense, 5° ≤ 2θ ≤ 70°, in order of rising 2θ)
| Position (°2θ) | I (rel.) |
| --- | --- |
| 24.8 | 1 |
| 25.0 | 1 |
| 30.5 | 1 |
| 42.8 | 100 |
| 49.0 | 33 |
| 51.3 | 14 |

Structure:
```
NbZn2Ni5
1.0
-1.8588 1.8588 7.1191
1.8588 -1.8588 7.1191
1.8588 1.8588 -7.1191
Nb Zn Ni
1 2 5
direct
0.0000 0.0000 0.0000
0.2526 0.2526 0.0000
0.7474 0.7474 0.0000
0.1257 0.6257 0.5000
0.3743 0.8743 0.5000
0.5000 0.5000 0.0000
0.6257 0.1257 0.5000
0.8743 0.3743 0.5000
```